1.
Diffraction record for SrAs2Pt2. The powder X-ray diffraction pattern is theoretical, not measured: it uses a cell relaxed with PBE and Cu Kα (weighted mean of Kα1 and Kα2).
Neutral-atom scattering factors, no anomalous dispersion.

The 6 most intense peaks (2θ from 5° to 70°), in order of rising 2θ:
17.78 deg, intensity 42, hkl 2 0 0
33.10 deg, intensity 55, hkl 2 1 -2
33.33 deg, intensity 100, hkl 2 1 2
39.37 deg, intensity 42, hkl 0 2 0
40.15 deg, intensity 58, hkl 0 0 4
45.91 deg, intensity 42, hkl 4 1 -2

Atomic structure:
Unit cell a=9.9765 b=4.5777 c=8.9830 alpha=90.00 beta=90.63 gamma=90.00
Space group P2_1/c (No. 14)
Unique sites:
1 Sr 0.2468 0.2371 0.1271 x4
2 As 0.0027 0.2441 0.3765 x4
3 As 0.3728 0.6984 0.3879 x4
4 Pt 0.1192 0.7456 0.3740 x4
5 Pt 0.4984 0.6683 0.1422 x4

2.
Diffraction record for SrTe2AsPt. The powder X-ray diffraction pattern is theoretical, not measured: it uses a cell relaxed with PBE and Cu Kα (weighted mean of Kα1 and Kα2).
Neutral-atom scattering factors, no anomalous dispersion.

The 6 most intense peaks (2θ from 5° to 70°), in order of rising 2θ:
22.75 deg, intensity 27, hkl 1 0 1
28.29 deg, intensity 100, hkl 1 1 1
31.17 deg, intensity 35, hkl 0 0 2
33.56 deg, intensity 58, hkl 2 0 0
46.46 deg, intensity 47, hkl 2 0 2
56.83 deg, intensity 28, hkl 3 1 1

Atomic structure:
Unit cell a=5.3401 b=5.3401 c=5.7388 alpha=90.00 beta=90.00 gamma=90.00
Space group P4/mmm (No. 123)
Unique sites:
1 Sr 0.0000 0.0000 0.0000 x1
2 Te 0.0000 0.5000 0.5000 x2
3 As 0.0000 0.0000 0.5000 x1
4 Pt 0.5000 0.5000 0.0000 x1

3.
Diffraction record for TiTcAs2Pt. The powder X-ray diffraction pattern is theoretical, not measured: it uses a cell relaxed with PBE and Cu Kα (weighted mean of Kα1 and Kα2).
Neutral-atom scattering factors, no anomalous dispersion.

The 6 most intense peaks (2θ from 5° to 70°), in order of rising 2θ:
18.37 deg, intensity 57, hkl 0 0 1
26.08 deg, intensity 100, hkl 1 0 1
37.16 deg, intensity 63, hkl 2 0 0
37.31 deg, intensity 31, hkl 0 0 2
45.99 deg, intensity 44, hkl 2 1 1
53.68 deg, intensity 43, hkl 2 0 2

Atomic structure:
Unit cell a=4.8394 b=4.8394 c=4.8197 alpha=90.00 beta=90.00 gamma=90.00
Space group P4/mmm (No. 123)
Unique sites:
1 Ti 0.0000 0.0000 0.0000 x1
2 Tc 0.5000 0.5000 0.0000 x1
3 As 0.0000 0.5000 0.5000 x2
4 Pt 0.0000 0.0000 0.5000 x1

Number 3 is which compound? TiTcAs2Pt